Structure and computed powder X-ray diffraction pattern of Li6Mn3NbP6O24 (a structure optimized by DFT (GGA+U); Cu Ka).
Peak positions follow from Bragg's law for the DFT cell and can differ from measured ones.

The 6 most intense peaks (2θ = 10–80°), in order of falling intensity:
| Position (°2θ) | d/Å | I (rel.) | hkl |
| --- | --- | --- | --- |
| 23.6 | 3.768 | 1000 | 2 0 -1 |
| 20.0 | 4.429 | 860 | 1 2 1 |
| 23.2 | 3.837 | 449 | 0 1 -1 |
| 32.1 | 2.787 | 445 | 2 3 2 |
| 14.2 | 6.242 | 387 | 1 1 1 |
| 20.2 | 4.392 | 332 | 2 1 0 |

Structural model:
abc: 8.7855 8.8464 8.8629
angles: 60.14 89.71 60.84
Fractional positions:
Li 0.0000 0.0000 0.0000
Li 0.1370 0.0399 0.3033
Li 0.3262 0.1280 0.5813
Li 0.5192 0.9365 0.1104
Li 0.6612 0.1223 0.7408
Li 0.8518 0.6056 0.9130
Mn 0.0168 0.7878 0.4196
Mn 0.5058 0.7765 0.9241
Mn 0.7989 0.3849 0.6186
Nb 0.3163 0.3802 0.1196
P 0.1124 0.8862 0.7135
P 0.2061 0.2792 0.8197
P 0.4086 0.5943 0.3245
P 0.6229 0.8842 0.5158
P 0.7255 0.2876 0.0167
P 0.9147 0.5963 0.2221
O 0.0530 0.2408 0.8278
O 0.0694 0.4553 0.1676
O 0.0799 0.9095 0.5303
O 0.1518 0.4928 0.6582
O 0.1963 0.6475 0.8777
O 0.2362 0.7599 0.3354
O 0.2609 0.9286 0.7247
O 0.2634 0.2489 0.0108
O 0.3427 0.5037 0.2426
O 0.3903 0.1056 0.8290
O 0.4288 0.0928 0.3636
O 0.4690 0.7228 0.1777
O 0.5565 0.4088 0.5064
O 0.5598 0.2874 0.0903
O 0.6125 0.8981 0.6841
O 0.6308 0.6989 0.5388
O 0.6954 0.4997 0.9501
O 0.7234 0.2450 0.8692
O 0.7457 0.7524 0.0472
O 0.7791 0.9039 0.4535
O 0.8992 0.4452 0.3946
O 0.9110 0.1109 0.1687
O 0.9399 0.0187 0.7452
O 0.9642 0.7327 0.2419